Structure and theoretical powder X-ray diffraction pattern of LiHg2Ge2 (a DFT-relaxed cell (GGA-PBE, Alexandria); Cu Kα, 1.54184 Å).
Lines closer than 0.1° are merged.

Principal peaks in the range 2θ from 10° to 90°, in order of rising 2θ:
d (Å)	I_rel
5.627	88.2
4.275	19.0
3.267	22.3
2.826	100.0
2.310	46.5
2.137	31.9
2.132	67.5
1.456	16.8
1.414	29.8
1.297	27.6

Structural model:
```
LiHg2Ge2
1.0
-2.310 2.310 5.627
2.310 -2.310 5.627
2.310 2.310 -5.627
Li Hg Ge
1 2 2
Direct
0.000 0.000 0.000 Li
0.250 0.750 0.500 Hg
0.750 0.250 0.500 Hg
0.392 0.392 0.000 Ge
0.608 0.608 0.000 Ge
```